Computed XRD peak list
Compound: K2MoS4
Radiation: Cu Kα
Structure: the GGA-PBE geometry in the Materials Project
Peak positions follow from Bragg's law for the DFT cell and can differ from measured ones.

Crystal structure
```
K2MoS4
1.0
9.590 0.000 0.000
0.000 6.980 0.000
0.000 0.000 12.427
K Mo S
8 4 16
direct
0.045 0.250 0.164
0.155 0.750 0.391
0.345 0.250 0.891
0.455 0.750 0.664
0.545 0.250 0.336
0.655 0.750 0.109
0.845 0.250 0.609
0.955 0.750 0.836
0.246 0.750 0.067
0.254 0.250 0.567
0.746 0.750 0.433
0.754 0.250 0.933
0.021 0.750 0.107
0.154 0.504 0.636
0.154 0.996 0.636
0.221 0.250 0.391
0.279 0.750 0.891
0.346 0.004 0.136
0.346 0.496 0.136
0.479 0.250 0.607
0.521 0.750 0.393
0.654 0.504 0.864
0.654 0.996 0.864
0.721 0.250 0.109
0.779 0.750 0.609
0.846 0.004 0.364
0.846 0.496 0.364
0.979 0.250 0.893
```

Most intense lines, 15° ≤ 2θ ≤ 90°, low angle first:
(hkl)  2θ/deg  I_rel
1 0 2  17.0  42
1 1 1  17.3  100
2 0 0  18.5  29
0 1 3  25.0  44
0 2 0  25.5  43
0 0 4  28.7  38
3 0 1  28.8  27
3 1 1  31.6  50
2 2 1  32.5  30
2 2 2  34.9  28